This entry pairs a crystal structure of K3Sm3SnTe8 with its calculated XRD peak list. Radiation: copper Kα. Structure: DFT lattice parameters and positions (PBE).
Kinematic intensities with the Lorentz-polarization factor, no thermal factor.

Principal peaks in the range 2θ from 10° to 80°, by angle:
d [Å]	I (rel.)
8.465	54
3.314	100
2.651	22
2.458	35
2.243	36
2.168	12
1.985	15
1.857	19
1.657	10
1.431	16

Structural model:
a = 8.975 Å, b = 8.975 Å, c = 9.930 Å
α = 116.93°, β = 116.93°, γ = 59.91°
Fractional coordinates of all 15 atoms:
K 0.000 0.000 0.000
K 0.000 0.500 0.000
K 0.500 0.000 0.000
Sm 0.000 0.500 0.500
Sm 0.500 0.000 0.500
Sm 0.500 0.500 0.500
Sn 0.000 0.000 0.500
Te 0.230 0.230 0.706
Te 0.230 0.746 0.705
Te 0.254 0.770 0.295
Te 0.262 0.262 0.287
Te 0.738 0.738 0.713
Te 0.746 0.230 0.705
Te 0.770 0.254 0.295
Te 0.770 0.770 0.294



This entry pairs a crystal structure of Li2Ca6Zn with its calculated XRD peak list. Radiation: copper Kα. Structure: DFT lattice parameters and positions (PBE).
Kinematic intensities with the Lorentz-polarization factor, no thermal factor.

Principal peaks in the range 2θ from 10° to 80°, by angle:
d [Å]	I (rel.)
8.191	17
5.158	11
4.832	16
3.710	12
2.911	100
2.733	49
2.189	9
1.932	17
1.720	11
1.610	29

Structural model:
a = 10.544 Å, b = 8.636 Å, c = 7.180 Å
α = 83.07°, β = 54.40°, γ = 42.53°
Fractional coordinates of all 9 atoms:
Li 0.171 0.171 0.829
Li 0.829 0.829 0.171
Ca 0.138 0.862 0.138
Ca 0.194 0.484 0.516
Ca 0.484 0.194 0.806
Ca 0.516 0.806 0.194
Ca 0.806 0.516 0.484
Ca 0.862 0.138 0.862
Zn 0.500 0.500 0.500



This entry pairs a crystal structure of RbFePdSe2 with its calculated XRD peak list. Radiation: copper Kα. Structure: DFT lattice parameters and positions (PBE).
Kinematic intensities with the Lorentz-polarization factor, no thermal factor.

Principal peaks in the range 2θ from 10° to 80°, by angle:
d [Å]	I (rel.)
7.513	91
3.400	59
2.773	95
2.676	36
2.620	100
2.243	67
2.055	43
1.865	89
1.571	34
1.398	35

Structural model:
a = 3.813 Å, b = 4.110 Å, c = 7.513 Å
α = 90.00°, β = 90.00°, γ = 90.00°
Fractional coordinates of all 5 atoms:
Rb 0.000 0.000 0.000
Fe 0.000 0.500 0.500
Pd 0.500 0.000 0.500
Se 0.500 0.500 0.284
Se 0.500 0.500 0.716



This entry pairs a crystal structure of Mg4Pb3Au with its calculated XRD peak list. Radiation: copper Kα. Structure: DFT lattice parameters and positions (PBE).
Kinematic intensities with the Lorentz-polarization factor, no thermal factor.

Principal peaks in the range 2θ from 10° to 80°, by angle:
d [Å]	I (rel.)
3.993	45
3.475	70
2.622	100
2.457	48
2.093	34
1.738	17
1.731	15
1.593	15
1.554	15
1.448	33

Structural model:
a = 3.475 Å, b = 3.475 Å, c = 15.972 Å
α = 90.00°, β = 90.00°, γ = 90.00°
Fractional coordinates of all 8 atoms:
Mg 0.000 0.000 0.093
Mg 0.000 0.000 0.366
Mg 0.000 0.000 0.634
Mg 0.000 0.000 0.907
Pb 0.500 0.500 0.232
Pb 0.500 0.500 0.500
Pb 0.500 0.500 0.768
Au 0.500 0.500 0.000



This entry pairs a crystal structure of YMg5Cd6 with its calculated XRD peak list. Radiation: copper Kα. Structure: DFT lattice parameters and positions (PBE).
Kinematic intensities with the Lorentz-polarization factor, no thermal factor.

Principal peaks in the range 2θ from 10° to 80°, by angle:
d [Å]	I (rel.)
3.846	19
3.414	29
2.553	100
2.423	22
2.405	21
1.923	10
1.705	8
1.506	9
1.502	9
1.424	8

Structural model:
a = 4.811 Å, b = 7.693 Å, c = 7.650 Å
α = 90.00°, β = 108.14°, γ = 90.00°
Fractional coordinates of all 12 atoms:
Y 0.000 0.000 0.000
Mg 0.000 0.500 0.000
Mg 0.332 0.000 0.667
Mg 0.332 0.500 0.662
Mg 0.668 0.000 0.333
Mg 0.668 0.500 0.338
Cd 0.170 0.254 0.340
Cd 0.170 0.746 0.340
Cd 0.500 0.267 0.000
Cd 0.500 0.733 0.000
Cd 0.830 0.254 0.660
Cd 0.830 0.746 0.660



Q: Number 4 is which compound?
A: Mg4Pb3Au